Record 1
Starting from the GGA-PBE geometry in Alexandria, the powder XRD pattern of ScTaSi2 was computed for copper Kα.

Top 6 peaks for 2θ = 10–90°, in order of rising 2θ:
| 2θ (°) | I (rel.) |
| --- | --- |
| 19.39 | 42.1 |
| 27.98 | 52.0 |
| 33.66 | 74.4 |
| 35.82 | 100.0 |
| 40.88 | 42.6 |
| 49.71 | 49.7 |

Cell and atoms:
```
ScTaSi2
1.0
5.180 0.000 0.000
0.000 5.195 0.000
-2.610 0.000 9.675
Sc Ta Si
4 4 8
direct
0.200 0.126 0.147
0.200 0.874 0.647
0.800 0.126 0.353
0.800 0.874 0.853
0.301 0.372 0.856
0.301 0.628 0.356
0.699 0.372 0.644
0.699 0.628 0.144
0.167 0.374 0.583
0.167 0.626 0.083
0.335 0.130 0.423
0.335 0.870 0.923
0.665 0.130 0.077
0.665 0.870 0.577
0.833 0.374 0.917
0.833 0.626 0.417
```

---

Record 2
Starting from the GGA-PBE geometry in Alexandria, the powder XRD pattern of TbTcC was computed for copper Kα.

Top 6 peaks for 2θ = 10–90°, in order of rising 2θ:
| 2θ (°) | I (rel.) |
| --- | --- |
| 32.29 | 100.0 |
| 39.38 | 21.4 |
| 39.67 | 61.4 |
| 52.28 | 29.1 |
| 67.33 | 17.2 |
| 67.49 | 16.9 |

Cell and atoms:
```
TbTcC
1.0
6.062 0.000 0.000
0.000 3.499 0.000
-2.032 0.000 4.577
Tb Tc C
2 2 2
direct
0.000 0.000 0.000
0.500 0.500 0.000
0.495 0.000 0.485
0.995 0.500 0.485
0.304 0.500 0.413
0.804 0.000 0.413
```

---

Record 3
Starting from the GGA-PBE geometry in Alexandria, the powder XRD pattern of Ba2URh2S6 was computed for copper Kα.

Top 6 peaks for 2θ = 10–90°, in order of rising 2θ:
| 2θ (°) | I (rel.) |
| --- | --- |
| 23.60 | 52.4 |
| 24.74 | 100.0 |
| 25.15 | 48.5 |
| 27.23 | 48.2 |
| 34.44 | 56.2 |
| 43.35 | 25.1 |

Cell and atoms:
```
Ba2URh2S6
1.0
6.267 -3.541 0.000
6.267 3.541 0.000
-4.308 0.000 6.403
Ba U Rh S
2 1 2 6
direct
0.231 0.231 0.214
0.769 0.769 0.786
0.000 0.000 0.500
0.452 0.452 0.805
0.548 0.548 0.195
0.190 0.698 0.214
0.237 0.237 0.636
0.302 0.810 0.786
0.698 0.190 0.214
0.763 0.763 0.364
0.810 0.302 0.786
```

---

Record 4
Starting from the GGA-PBE geometry in Alexandria, the powder XRD pattern of Be16Nb2Cu was computed for copper Kα.

Top 6 peaks for 2θ = 10–90°, in order of rising 2θ:
| 2θ (°) | I (rel.) |
| --- | --- |
| 23.97 | 100.0 |
| 34.65 | 50.6 |
| 35.99 | 20.9 |
| 42.15 | 32.5 |
| 49.07 | 24.5 |
| 49.45 | 27.3 |

Cell and atoms:
```
Be16Nb2Cu
1.0
3.713 2.144 3.610
-3.713 2.144 3.610
0.000 -4.287 3.610
Be Nb Cu
16 2 1
direct
0.051 0.051 0.051
0.154 0.154 0.658
0.154 0.658 0.154
0.156 0.451 0.860
0.156 0.860 0.451
0.316 0.809 0.809
0.451 0.156 0.860
0.451 0.860 0.156
0.503 0.503 0.993
0.503 0.993 0.503
0.658 0.154 0.154
0.809 0.316 0.809
0.809 0.809 0.316
0.860 0.156 0.451
0.860 0.451 0.156
0.993 0.503 0.503
0.499 0.499 0.499
0.816 0.816 0.816
0.251 0.251 0.251
```

---

What did the fourth record say?
Starting from the GGA-PBE geometry in Alexandria, the powder XRD pattern of Be16Nb2Cu was computed for copper Kα.

Top 6 peaks for 2θ = 10–90°, in order of rising 2θ:
| 2θ (°) | I (rel.) |
| --- | --- |
| 23.97 | 100.0 |
| 34.65 | 50.6 |
| 35.99 | 20.9 |
| 42.15 | 32.5 |
| 49.07 | 24.5 |
| 49.45 | 27.3 |

Cell and atoms:
```
Be16Nb2Cu
1.0
3.713 2.144 3.610
-3.713 2.144 3.610
0.000 -4.287 3.610
Be Nb Cu
16 2 1
direct
0.051 0.051 0.051
0.154 0.154 0.658
0.154 0.658 0.154
0.156 0.451 0.860
0.156 0.860 0.451
0.316 0.809 0.809
0.451 0.156 0.860
0.451 0.860 0.156
0.503 0.503 0.993
0.503 0.993 0.503
0.658 0.154 0.154
0.809 0.316 0.809
0.809 0.809 0.316
0.860 0.156 0.451
0.860 0.451 0.156
0.993 0.503 0.503
0.499 0.499 0.499
0.816 0.816 0.816
0.251 0.251 0.251
```